[1]
Structure and simulated powder diffraction line list of Li9Mn2Co5O16 (the PBE+U geometry in the Materials Project; λ = 1.5418 Å (Cu Kα)).
Intensities are scaled so that the largest is 100.

Atomic structure:
abc: 2.988 2.988 39.317
angles: 90.08 90.08 57.48
Fractional positions:
1 Li 0.000 0.000 0.000
2 Li 0.115 0.115 0.373
3 Li 0.250 0.250 0.749
4 Li 0.375 0.375 0.124
5 Li 0.437 0.437 0.312
6 Li 0.500 0.500 0.499
7 Li 0.628 0.628 0.875
8 Li 0.757 0.757 0.249
9 Li 0.870 0.870 0.622
10 Mn 0.560 0.560 0.686
11 Mn 0.938 0.938 0.812
12 Co 0.062 0.062 0.185
13 Co 0.187 0.187 0.561
14 Co 0.311 0.311 0.937
15 Co 0.687 0.687 0.061
16 Co 0.810 0.810 0.437
17 O 0.049 0.049 0.088
18 O 0.093 0.093 0.279
19 O 0.168 0.168 0.465
20 O 0.192 0.192 0.657
21 O 0.309 0.309 0.841
22 O 0.322 0.322 0.033
23 O 0.406 0.406 0.212
24 O 0.456 0.456 0.412
25 O 0.524 0.524 0.590
26 O 0.568 0.568 0.783
27 O 0.650 0.650 0.965
28 O 0.718 0.718 0.156
29 O 0.781 0.781 0.344
30 O 0.849 0.849 0.532
31 O 0.930 0.930 0.716
32 O 0.972 0.972 0.909

Main lines, by angle (15 to 90 degrees two-theta):
d = 4.915 Å, 2θ 18.0, intensity 100; d = 2.597 Å, 2θ 34.5, intensity 18; d = 2.474 Å, 2θ 36.3, intensity 25; d = 2.399 Å, 2θ 37.5, intensity 8; d = 2.179 Å, 2θ 41.4, intensity 33; d = 2.060 Å, 2θ 44.0, intensity 53; d = 1.935 Å, 2θ 47.0, intensity 11; d = 1.600 Å, 2θ 57.6, intensity 9; d = 1.502 Å, 2θ 61.8, intensity 16; d = 1.492 Å, 2θ 62.2, intensity 16

***

[2]
Structure and simulated powder diffraction line list of MnO2 (the PBE+U geometry in the Materials Project; λ = 1.5418 Å (Cu Kα)).
Intensities are scaled so that the largest is 100.

Atomic structure:
abc: 9.577 9.577 2.933
angles: 90.00 90.00 90.00
Fractional positions:
1 Mn 0.000 0.500 0.000
2 Mn 0.011 0.767 0.500
3 Mn 0.233 0.011 0.000
4 Mn 0.500 0.000 0.500
5 Mn 0.767 0.989 0.000
6 Mn 0.989 0.233 0.500
7 O 0.090 0.153 0.000
8 O 0.097 0.407 0.500
9 O 0.106 0.672 0.000
10 O 0.153 0.910 0.500
11 O 0.328 0.106 0.500
12 O 0.407 0.903 0.000
13 O 0.593 0.097 0.000
14 O 0.672 0.894 0.500
15 O 0.847 0.090 0.500
16 O 0.894 0.328 0.000
17 O 0.903 0.593 0.500
18 O 0.910 0.847 0.000

Main lines, by angle (15 to 90 degrees two-theta):
d = 4.789 Å, 2θ 18.5, intensity 74; d = 4.283 Å, 2θ 20.7, intensity 92; d = 3.029 Å, 2θ 29.5, intensity 42; d = 2.656 Å, 2θ 33.7, intensity 38; d = 2.501 Å, 2θ 35.9, intensity 43; d = 2.420 Å, 2θ 37.1, intensity 100; d = 1.969 Å, 2θ 46.1, intensity 63; d = 1.730 Å, 2θ 52.9, intensity 54; d = 1.521 Å, 2θ 60.9, intensity 59; d = 1.387 Å, 2θ 67.5, intensity 43

***

[3]
Structure and simulated powder diffraction line list of Tl2CoF4 (the PBE+U geometry in the Materials Project; λ = 1.5418 Å (Cu Kα)).
Intensities are scaled so that the largest is 100.

Atomic structure:
abc: 7.623 7.623 7.623
angles: 148.12 148.12 45.72
Fractional positions:
1 Tl 0.147 0.147 0.000
2 Tl 0.853 0.853 0.000
3 Co 0.500 0.500 0.000
4 F 0.000 0.500 0.500
5 F 0.357 0.357 0.000
6 F 0.500 0.000 0.500
7 F 0.643 0.643 0.000

Main lines, by angle (15 to 90 degrees two-theta):
d = 4.013 Å, 2θ 22.1, intensity 26; d = 3.512 Å, 2θ 25.4, intensity 15; d = 3.122 Å, 2θ 28.6, intensity 100; d = 2.961 Å, 2θ 30.2, intensity 59; d = 2.342 Å, 2θ 38.4, intensity 13; d = 2.264 Å, 2θ 39.8, intensity 32; d = 2.094 Å, 2θ 43.2, intensity 30; d = 1.837 Å, 2θ 49.6, intensity 17; d = 1.739 Å, 2θ 52.6, intensity 38; d = 1.561 Å, 2θ 59.2, intensity 14

***

[4]
Structure and simulated powder diffraction line list of CsLuMo2O8 (the PBE+U geometry in the Materials Project; λ = 1.5418 Å (Cu Kα)).
Intensities are scaled so that the largest is 100.

Atomic structure:
abc: 7.531 7.531 7.707
angles: 117.84 117.84 88.39
Fractional positions:
1 Cs 0.196 0.804 0.750
2 Cs 0.804 0.196 0.250
3 Lu 0.229 0.771 0.250
4 Lu 0.771 0.229 0.750
5 Mo 0.302 0.307 0.268
6 Mo 0.307 0.302 0.768
7 Mo 0.693 0.698 0.232
8 Mo 0.698 0.693 0.732
9 O 0.049 0.214 0.702
10 O 0.063 0.378 0.119
11 O 0.214 0.049 0.202
12 O 0.242 0.384 0.567
13 O 0.369 0.588 0.037
14 O 0.378 0.063 0.619
15 O 0.384 0.242 0.067
16 O 0.412 0.631 0.463
17 O 0.588 0.369 0.537
18 O 0.616 0.758 0.933
19 O 0.622 0.937 0.381
20 O 0.631 0.412 0.963
21 O 0.758 0.616 0.433
22 O 0.786 0.951 0.798
23 O 0.937 0.622 0.881
24 O 0.951 0.786 0.298

Main lines, by angle (15 to 90 degrees two-theta):
d = 3.227 Å, 2θ 27.6, intensity 100; d = 3.212 Å, 2θ 27.8, intensity 17; d = 3.100 Å, 2θ 28.8, intensity 74; d = 2.924 Å, 2θ 30.6, intensity 36; d = 2.694 Å, 2θ 33.3, intensity 15; d = 1.953 Å, 2θ 46.5, intensity 15; d = 1.829 Å, 2θ 49.8, intensity 14; d = 1.783 Å, 2θ 51.2, intensity 12; d = 1.763 Å, 2θ 51.9, intensity 11; d = 1.699 Å, 2θ 54.0, intensity 16

***

[5]
Structure and simulated powder diffraction line list of K2FeP2H3O8F2 (the PBE+U geometry in the Materials Project; λ = 1.5418 Å (Cu Kα)).
Intensities are scaled so that the largest is 100.

Atomic structure:
abc: 4.858 8.455 11.037
angles: 90.00 93.70 90.00
Fractional positions:
1 K 0.003 0.000 0.083
2 K 0.010 0.292 0.580
3 K 0.990 0.792 0.420
4 K 0.997 0.500 0.917
5 Fe 0.001 0.893 0.750
6 Fe 0.999 0.393 0.250
7 P 0.483 0.632 0.165
8 P 0.484 0.651 0.667
9 P 0.516 0.151 0.333
10 P 0.517 0.132 0.835
11 H 0.447 0.738 0.980
12 H 0.451 0.552 0.481
13 H 0.481 0.881 0.247
14 H 0.519 0.381 0.753
15 H 0.549 0.052 0.519
16 H 0.553 0.238 0.020
17 O 0.255 0.204 0.258
18 O 0.258 0.085 0.759
19 O 0.263 0.505 0.142
20 O 0.263 0.780 0.645
21 O 0.342 0.780 0.221
22 O 0.357 0.502 0.722
23 O 0.407 0.105 0.463
24 O 0.408 0.186 0.963
25 O 0.592 0.686 0.037
26 O 0.593 0.605 0.537
27 O 0.643 0.002 0.278
28 O 0.658 0.280 0.779
29 O 0.737 0.005 0.858
30 O 0.737 0.280 0.355
31 O 0.742 0.585 0.241
32 O 0.745 0.704 0.742
33 F 0.178 0.488 0.400
34 F 0.182 0.804 0.902
35 F 0.818 0.304 0.098
36 F 0.822 0.988 0.600

Main lines, by angle (15 to 90 degrees two-theta):
d = 5.507 Å, 2θ 16.1, intensity 41; d = 4.004 Å, 2θ 22.2, intensity 22; d = 3.436 Å, 2θ 25.9, intensity 62; d = 3.256 Å, 2θ 27.4, intensity 59; d = 3.186 Å, 2θ 28.0, intensity 100; d = 2.846 Å, 2θ 31.4, intensity 37; d = 2.692 Å, 2θ 33.3, intensity 31; d = 2.618 Å, 2θ 34.3, intensity 26; d = 2.509 Å, 2θ 35.8, intensity 28; d = 2.459 Å, 2θ 36.5, intensity 26

***

[6]
Structure and simulated powder diffraction line list of NaCo2Se2O7 (the PBE+U geometry in the Materials Project; λ = 1.5418 Å (Cu Kα)).
Intensities are scaled so that the largest is 100.

Atomic structure:
abc: 13.514 6.053 8.380
angles: 90.00 90.00 90.00
Fractional positions:
1 Na 0.249 0.250 0.130
2 Na 0.251 0.750 0.630
3 Na 0.749 0.250 0.370
4 Na 0.751 0.750 0.870
5 Co 0.000 0.000 0.500
6 Co 0.000 0.500 0.500
7 Co 0.116 0.250 0.775
8 Co 0.384 0.750 0.275
9 Co 0.500 0.000 0.000
10 Co 0.500 0.500 0.000
11 Co 0.616 0.250 0.725
12 Co 0.884 0.750 0.225
13 Se 0.026 0.750 0.880
14 Se 0.172 0.750 0.274
15 Se 0.328 0.250 0.774
16 Se 0.474 0.250 0.380
17 Se 0.526 0.750 0.620
18 Se 0.672 0.750 0.226
19 Se 0.828 0.250 0.726
20 Se 0.974 0.250 0.120
21 O 0.014 0.526 0.749
22 O 0.014 0.974 0.749
23 O 0.082 0.250 0.530
24 O 0.088 0.250 0.027
25 O 0.113 0.750 0.464
26 O 0.243 0.041 0.801
27 O 0.243 0.459 0.801
28 O 0.257 0.541 0.301
29 O 0.257 0.959 0.301
30 O 0.387 0.250 0.964
31 O 0.412 0.750 0.527
32 O 0.418 0.750 0.030
33 O 0.486 0.026 0.249
34 O 0.486 0.474 0.249
35 O 0.514 0.526 0.751
36 O 0.514 0.974 0.751
37 O 0.582 0.250 0.970
38 O 0.588 0.250 0.473
39 O 0.613 0.750 0.036
40 O 0.743 0.041 0.699
41 O 0.743 0.459 0.699
42 O 0.757 0.541 0.199
43 O 0.757 0.959 0.199
44 O 0.887 0.250 0.536
45 O 0.912 0.750 0.973
46 O 0.918 0.750 0.470
47 O 0.986 0.026 0.251
48 O 0.986 0.474 0.251

Main lines, by angle (15 to 90 degrees two-theta):
d = 4.907 Å, 2θ 18.1, intensity 35; d = 3.970 Å, 2θ 22.4, intensity 51; d = 3.561 Å, 2θ 25.0, intensity 37; d = 3.338 Å, 2θ 26.7, intensity 39; d = 3.133 Å, 2θ 28.5, intensity 31; d = 2.784 Å, 2θ 32.2, intensity 100; d = 2.736 Å, 2θ 32.7, intensity 30; d = 2.536 Å, 2θ 35.4, intensity 41; d = 2.406 Å, 2θ 37.4, intensity 31; d = 1.535 Å, 2θ 60.3, intensity 34

***

[7]
Structure and simulated powder diffraction line list of Li2VF5 (the PBE+U geometry in the Materials Project; λ = 1.5418 Å (Cu Kα)).
Intensities are scaled so that the largest is 100.

Atomic structure:
abc: 7.482 6.951 7.818
angles: 90.00 90.60 90.00
Fractional positions:
1 Li 0.000 0.003 0.000
2 Li 0.000 0.997 0.500
3 Li 0.267 0.262 0.727
4 Li 0.267 0.738 0.227
5 Li 0.489 0.482 0.060
6 Li 0.489 0.518 0.560
7 Li 0.740 0.191 0.242
8 Li 0.740 0.809 0.742
9 V 0.481 0.012 0.944
10 V 0.481 0.988 0.444
11 V 0.991 0.481 0.142
12 V 0.991 0.519 0.642
13 F 0.030 0.244 0.603
14 F 0.030 0.756 0.103
15 F 0.228 0.056 0.902
16 F 0.228 0.944 0.402
17 F 0.251 0.467 0.164
18 F 0.251 0.533 0.664
19 F 0.438 0.245 0.524
20 F 0.438 0.755 0.024
21 F 0.493 0.283 0.883
22 F 0.493 0.717 0.383
23 F 0.502 0.096 0.197
24 F 0.502 0.904 0.697
25 F 0.729 0.454 0.159
26 F 0.729 0.546 0.659
27 F 0.739 0.022 0.444
28 F 0.739 0.978 0.944
29 F 0.977 0.197 0.179
30 F 0.977 0.803 0.679
31 F 0.990 0.437 0.891
32 F 0.990 0.563 0.391

Main lines, by angle (15 to 90 degrees two-theta):
d = 5.092 Å, 2θ 17.4, intensity 100; d = 3.741 Å, 2θ 23.8, intensity 35; d = 3.477 Å, 2θ 25.6, intensity 39; d = 3.450 Å, 2θ 25.8, intensity 17; d = 3.407 Å, 2θ 26.2, intensity 51; d = 2.347 Å, 2θ 38.3, intensity 16; d = 2.213 Å, 2θ 40.8, intensity 11; d = 1.993 Å, 2θ 45.5, intensity 18; d = 1.870 Å, 2θ 48.7, intensity 19; d = 1.647 Å, 2θ 55.8, intensity 10

***

[8]
Structure and simulated powder diffraction line list of Sc2Mn2O7 (the PBE+U geometry in the Materials Project; λ = 1.5418 Å (Cu Kα)).
Intensities are scaled so that the largest is 100.

Atomic structure:
abc: 6.870 6.870 6.870
angles: 60.00 60.00 60.00
Fractional positions:
1 Sc 0.000 0.000 0.000
2 Sc 0.000 0.000 0.500
3 Sc 0.000 0.500 0.000
4 Sc 0.500 0.000 0.000
5 Mn 0.000 0.500 0.500
6 Mn 0.500 0.000 0.500
7 Mn 0.500 0.500 0.000
8 Mn 0.500 0.500 0.500
9 O 0.125 0.125 0.125
10 O 0.163 0.163 0.587
11 O 0.163 0.587 0.163
12 O 0.163 0.587 0.587
13 O 0.413 0.413 0.837
14 O 0.413 0.837 0.413
15 O 0.413 0.837 0.837
16 O 0.587 0.163 0.163
17 O 0.587 0.163 0.587
18 O 0.587 0.587 0.163
19 O 0.837 0.413 0.413
20 O 0.837 0.413 0.837
21 O 0.837 0.837 0.413
22 O 0.875 0.875 0.875

Main lines, by angle (15 to 90 degrees two-theta):
d = 5.609 Å, 2θ 15.8, intensity 4; d = 2.929 Å, 2θ 30.5, intensity 6; d = 2.805 Å, 2θ 31.9, intensity 100; d = 2.429 Å, 2θ 37.0, intensity 12; d = 1.870 Å, 2θ 48.7, intensity 3; d = 1.717 Å, 2θ 53.3, intensity 60; d = 1.465 Å, 2θ 63.5, intensity 35; d = 1.402 Å, 2θ 66.7, intensity 5; d = 1.214 Å, 2θ 78.8, intensity 7; d = 1.114 Å, 2θ 87.5, intensity 13

***

[9]
Structure and simulated powder diffraction line list of Li9Mn7O16 (the PBE+U geometry in the Materials Project; λ = 1.5418 Å (Cu Kα)).
Intensities are scaled so that the largest is 100.

Atomic structure:
abc: 5.996 6.057 8.193
angles: 90.83 90.38 94.21
Fractional positions:
1 Li 0.000 0.000 0.000
2 Li 0.000 0.000 0.500
3 Li 0.000 0.500 0.000
4 Li 0.245 0.244 0.256
5 Li 0.247 0.756 0.254
6 Li 0.500 0.000 0.500
7 Li 0.500 0.500 0.500
8 Li 0.753 0.244 0.746
9 Li 0.755 0.756 0.744
10 Mn 0.000 0.500 0.500
11 Mn 0.243 0.758 0.747
12 Mn 0.244 0.250 0.747
13 Mn 0.500 0.000 0.000
14 Mn 0.500 0.500 0.000
15 Mn 0.756 0.750 0.253
16 Mn 0.757 0.242 0.253
17 O 0.000 0.483 0.264
18 O 0.000 0.517 0.736
19 O 0.024 0.003 0.751
20 O 0.223 0.278 0.512
21 O 0.241 0.736 0.512
22 O 0.259 0.266 0.989
23 O 0.260 0.765 0.987
24 O 0.480 0.497 0.761
25 O 0.496 0.986 0.756
26 O 0.504 0.014 0.244
27 O 0.520 0.503 0.239
28 O 0.740 0.235 0.013
29 O 0.741 0.734 0.011
30 O 0.759 0.264 0.488
31 O 0.777 0.722 0.488
32 O 0.976 0.997 0.249

Main lines, by angle (15 to 90 degrees two-theta):
d = 4.847 Å, 2θ 18.3, intensity 100; d = 2.640 Å, 2θ 34.0, intensity 18; d = 2.480 Å, 2θ 36.2, intensity 23; d = 2.207 Å, 2θ 40.9, intensity 34; d = 2.049 Å, 2θ 44.2, intensity 54; d = 1.584 Å, 2θ 58.3, intensity 9; d = 1.510 Å, 2θ 61.4, intensity 8; d = 1.505 Å, 2θ 61.6, intensity 8; d = 1.497 Å, 2θ 62.0, intensity 8; d = 1.495 Å, 2θ 62.1, intensity 8